Record 1
Calculated PXRD pattern
Compound: Tm8Co3Pt2
Radiation: Cu Kα, 1.54184 Å
Structure: a DFT-relaxed cell (GGA-PBE, Alexandria)

Crystal structure
```
data_Tm8Co3Pt2
_symmetry_space_group_name_H-M 'P 1 2/m 1'
_symmetry_Int_Tables_number 10
_symmetry_space_group_name_Hall '-P 2y'
_cell_length_a 8.2141
_cell_length_b 4.6704
_cell_length_c 8.2166
_cell_angle_alpha 90.00
_cell_angle_beta 109.76
_cell_angle_gamma 90.00
loop_
_atom_site_label
_atom_site_type_symbol
_atom_site_fract_x
_atom_site_fract_y
_atom_site_fract_z
Tm1 Tm 0.1200 0.0000 0.3810
Tm2 Tm 0.1323 0.5000 0.8712
Tm3 Tm 0.3725 0.5000 0.6329
Tm4 Tm 0.3792 0.0000 0.1197
Co1 Co 0.2545 0.0000 0.7541
Co2 Co 0.5000 0.5000 0.0000
Pt1 Pt 0.2486 0.5000 0.2509
```

Most intense lines, 2θ from 10° to 80°, by angle:
- hkl 2 0 0, 2θ = 23.01°, rel. 8
- hkl 2 0 -2, 2θ = 26.53°, rel. 8
- hkl 1 1 1, 2θ = 26.84°, rel. 16
- hkl 2 0 2, 2θ = 38.09°, rel. 100
- hkl 0 2 0, 2θ = 38.55°, rel. 20
- hkl 2 2 2, 2θ = 55.31°, rel. 14
- hkl 5 1 1, 2θ = 68.83°, rel. 21
- hkl 3 3 -1, 2θ = 69.45°, rel. 14

***

Record 2
Calculated PXRD pattern
Compound: ErB4Rh7
Radiation: Cu Kα, 1.54184 Å
Structure: a DFT-relaxed cell (GGA-PBE, Alexandria)

Crystal structure
```
data_ErB4Rh7
_symmetry_space_group_name_H-M 'P m m m'
_symmetry_Int_Tables_number 47
_symmetry_space_group_name_Hall '-P 2 2'
_cell_length_a 2.8965
_cell_length_b 5.5479
_cell_length_c 9.5987
_cell_angle_alpha 90.00
_cell_angle_beta 90.00
_cell_angle_gamma 90.00
loop_
_atom_site_label
_atom_site_type_symbol
_atom_site_fract_x
_atom_site_fract_y
_atom_site_fract_z
Er1 Er 0.0000 0.0000 0.0000
B1 B 0.0000 0.0000 0.3319
B2 B 0.0000 0.5000 0.1657
Rh1 Rh 0.0000 0.5000 0.5000
Rh2 Rh 0.5000 0.0000 0.5000
Rh3 Rh 0.5000 0.2533 0.2537
Rh4 Rh 0.5000 0.5000 0.0000
```

Most intense lines, 2θ from 10° to 80°, by angle:
- hkl 1 1 1, 2θ = 36.22°, rel. 60
- hkl 0 2 2, 2θ = 37.46°, rel. 100
- hkl 1 1 3, 2θ = 45.28°, rel. 39
- hkl 1 2 2, 2θ = 49.30°, rel. 16
- hkl 1 3 1, 2θ = 60.17°, rel. 28
- hkl 0 4 0, 2θ = 67.58°, rel. 19
- hkl 2 2 2, 2θ = 76.87°, rel. 24
- hkl 1 3 5, 2θ = 79.15°, rel. 12

***

Record 3
Calculated PXRD pattern
Compound: Na5Tl2Bi3
Radiation: Cu Kα, 1.54184 Å
Structure: a DFT-relaxed cell (GGA-PBE, Alexandria)

Crystal structure
```
data_Na5Tl2Bi3
_symmetry_space_group_name_H-M 'C 1 2/c 1'
_symmetry_Int_Tables_number 15
_symmetry_space_group_name_Hall '-C 2yc'
_cell_length_a 12.0542
_cell_length_b 15.6240
_cell_length_c 6.6212
_cell_angle_alpha 90.00
_cell_angle_beta 90.87
_cell_angle_gamma 90.00
loop_
_atom_site_label
_atom_site_type_symbol
_atom_site_fract_x
_atom_site_fract_y
_atom_site_fract_z
Na1 Na 0.0000 0.0398 0.2500
Na2 Na 0.1266 0.3447 0.5716
Na3 Na 0.2356 0.4508 0.0198
Tl1 Tl 0.1190 0.2439 0.1043
Bi1 Bi 0.0000 0.4779 0.2500
Bi2 Bi 0.1126 0.1422 0.6162
```

Most intense lines, 2θ from 10° to 80°, by angle:
- hkl 0 2 0, 2θ = 11.33°, rel. 27
- hkl 0 2 1, 2θ = 17.56°, rel. 27
- hkl 1 3 0, 2θ = 18.56°, rel. 68
- hkl 1 3 1, 2θ = 23.04°, rel. 55
- hkl 2 0 2, 2θ = 31.03°, rel. 100
- hkl 4 2 0, 2θ = 31.83°, rel. 47
- hkl 1 5 1, 2θ = 32.59°, rel. 84
- hkl 2 2 -2, 2θ = 32.74°, rel. 44

***

Record 4
Calculated PXRD pattern
Compound: CrMo2Rh
Radiation: Cu Kα, 1.54184 Å
Structure: a DFT-relaxed cell (GGA-PBE, Alexandria)

Crystal structure
```
data_CrMo2Rh
_symmetry_space_group_name_H-M 'P 4 m m'
_symmetry_Int_Tables_number 99
_symmetry_space_group_name_Hall 'P 4 -2'
_cell_length_a 3.1196
_cell_length_b 3.1196
_cell_length_c 6.0800
_cell_angle_alpha 90.00
_cell_angle_beta 90.00
_cell_angle_gamma 90.00
loop_
_atom_site_label
_atom_site_type_symbol
_atom_site_fract_x
_atom_site_fract_y
_atom_site_fract_z
Cr1 Cr 0.0000 0.0000 0.0000
Mo1 Mo 0.0000 0.0000 0.4791
Mo2 Mo 0.5000 0.5000 0.2239
Rh1 Rh 0.5000 0.5000 0.7439
```

Most intense lines, 2θ from 10° to 80°, by angle:
- hkl 1 0 0, 2θ = 28.61°, rel. 3
- hkl 1 0 1, 2θ = 32.25°, rel. 6
- hkl 1 1 0, 2θ = 40.91°, rel. 53
- hkl 1 0 2, 2θ = 41.48°, rel. 100
- hkl 2 0 0, 2θ = 59.24°, rel. 17
- hkl 0 0 4, 2θ = 60.95°, rel. 7
- hkl 2 1 2, 2θ = 74.89°, rel. 33
- hkl 1 1 4, 2θ = 76.04°, rel. 15

***

Record 5
Calculated PXRD pattern
Compound: RbIn2Ir2
Radiation: Cu Kα, 1.54184 Å
Structure: a DFT-relaxed cell (GGA-PBE, Alexandria)

Crystal structure
```
data_RbIn2Ir2
_symmetry_space_group_name_H-M 'P 4/m b m'
_symmetry_Int_Tables_number 127
_symmetry_space_group_name_Hall '-P 4 2ab'
_cell_length_a 8.2757
_cell_length_b 8.2757
_cell_length_c 3.0314
_cell_angle_alpha 90.00
_cell_angle_beta 90.00
_cell_angle_gamma 90.00
loop_
_atom_site_label
_atom_site_type_symbol
_atom_site_fract_x
_atom_site_fract_y
_atom_site_fract_z
Rb1 Rb 0.0000 0.0000 0.0000
In1 In 0.1472 0.3528 0.5000
Ir1 Ir 0.1431 0.6431 0.0000
```

Most intense lines, 2θ from 10° to 80°, by angle:
- hkl 1 1 0, 2θ = 15.14°, rel. 23
- hkl 3 1 0, 2θ = 34.26°, rel. 58
- hkl 2 1 1, 2θ = 38.38°, rel. 100
- hkl 4 0 0, 2θ = 43.75°, rel. 16
- hkl 3 3 0, 2θ = 46.56°, rel. 12
- hkl 3 2 1, 2θ = 49.83°, rel. 12
- hkl 5 2 1, 2θ = 68.45°, rel. 28
- hkl 3 1 2, 2θ = 72.00°, rel. 13

***

Record 6
Calculated PXRD pattern
Compound: LaSmGaRu
Radiation: Cu Kα, 1.54184 Å
Structure: a DFT-relaxed cell (GGA-PBE, Alexandria)

Crystal structure
```
data_LaSmGaRu
_symmetry_space_group_name_H-M 'A m m 2'
_symmetry_Int_Tables_number 38
_symmetry_space_group_name_Hall 'A 2 -2'
_cell_length_a 4.5255
_cell_length_b 4.1120
_cell_length_c 10.7783
_cell_angle_alpha 90.00
_cell_angle_beta 90.00
_cell_angle_gamma 90.00
loop_
_atom_site_label
_atom_site_type_symbol
_atom_site_fract_x
_atom_site_fract_y
_atom_site_fract_z
La1 La 0.0000 0.0000 0.0000
Sm1 Sm 0.5000 0.0000 0.7202
Ga1 Ga 0.5000 0.0000 0.4224
Ru1 Ru 0.0000 0.0000 0.3018
```

Most intense lines, 2θ from 10° to 80°, by angle:
- hkl 1 0 2, 2θ = 25.71°, rel. 25
- hkl 1 1 1, 2θ = 30.52°, rel. 100
- hkl 0 1 3, 2θ = 33.11°, rel. 52
- hkl 1 1 3, 2θ = 38.78°, rel. 56
- hkl 1 0 4, 2θ = 38.90°, rel. 25
- hkl 2 0 0, 2θ = 39.84°, rel. 31
- hkl 0 2 0, 2θ = 44.04°, rel. 24
- hkl 2 1 3, 2θ = 52.76°, rel. 36

***

Record 7
Calculated PXRD pattern
Compound: Tl4SbPb
Radiation: Cu Kα, 1.54184 Å
Structure: a DFT-relaxed cell (GGA-PBE, Alexandria)

Crystal structure
```
data_Tl4SbPb
_symmetry_space_group_name_H-M 'C m c 21'
_symmetry_Int_Tables_number 36
_symmetry_space_group_name_Hall 'C 2c -2'
_cell_length_a 5.4197
_cell_length_b 21.7126
_cell_length_c 6.7321
_cell_angle_alpha 90.00
_cell_angle_beta 90.00
_cell_angle_gamma 90.00
loop_
_atom_site_label
_atom_site_type_symbol
_atom_site_fract_x
_atom_site_fract_y
_atom_site_fract_z
Tl1 Tl 0.0000 0.0399 0.0000
Tl2 Tl 0.0000 0.2643 0.1009
Tl3 Tl 0.0000 0.3093 0.6244
Tl4 Tl 0.0000 0.4473 0.8093
Sb1 Sb 0.0000 0.4024 0.2657
Pb1 Pb 0.0000 0.1406 0.4970
```

Most intense lines, 2θ from 10° to 80°, by angle:
- hkl 0 2 2, 2θ = 27.75°, rel. 29
- hkl 0 6 1, 2θ = 27.99°, rel. 25
- hkl 1 5 1, 2θ = 29.51°, rel. 100
- hkl 1 1 2, 2θ = 31.56°, rel. 63
- hkl 2 0 0, 2θ = 33.06°, rel. 58
- hkl 1 7 0, 2θ = 33.28°, rel. 29
- hkl 1 7 1, 2θ = 35.93°, rel. 31
- hkl 0 4 3, 2θ = 43.67°, rel. 29

***

Record 8
Calculated PXRD pattern
Compound: Li3Sm2Se4
Radiation: Cu Kα, 1.54184 Å
Structure: a DFT-relaxed cell (GGA-PBE, Alexandria)

Crystal structure
```
data_Li3Sm2Se4
_symmetry_space_group_name_H-M 'C 1 2/m 1'
_symmetry_Int_Tables_number 12
_symmetry_space_group_name_Hall '-C 2y'
_cell_length_a 7.1508
_cell_length_b 4.1180
_cell_length_c 14.3828
_cell_angle_alpha 90.00
_cell_angle_beta 90.74
_cell_angle_gamma 90.00
loop_
_atom_site_label
_atom_site_type_symbol
_atom_site_fract_x
_atom_site_fract_y
_atom_site_fract_z
Li1 Li 0.0000 0.0000 0.0000
Li2 Li 0.1564 0.5000 0.5933
Sm1 Sm 0.1737 0.5000 0.2236
Se1 Se 0.0099 0.0000 0.3541
Se2 Se 0.1625 0.5000 0.8919
```

Most intense lines, 2θ from 10° to 80°, by angle:
- hkl 0 0 2, 2θ = 12.31°, rel. 90
- hkl 1 1 -1, 2θ = 25.68°, rel. 49
- hkl 2 0 1, 2θ = 25.76°, rel. 24
- hkl 1 1 -3, 2θ = 31.15°, rel. 100
- hkl 2 0 3, 2θ = 31.40°, rel. 50
- hkl 1 1 4, 2θ = 35.56°, rel. 26
- hkl 0 2 0, 2θ = 43.92°, rel. 59
- hkl 1 1 6, 2θ = 45.74°, rel. 29

***

Record 9
Calculated PXRD pattern
Compound: InGa4Bi
Radiation: Cu Kα, 1.54184 Å
Structure: a DFT-relaxed cell (GGA-PBE, Alexandria)

Crystal structure
```
data_InGa4Bi
_symmetry_space_group_name_H-M 'F -4 3 m'
_symmetry_Int_Tables_number 216
_symmetry_space_group_name_Hall 'F -4 2 3'
_cell_length_a 8.1912
_cell_length_b 8.1912
_cell_length_c 8.1912
_cell_angle_alpha 90.00
_cell_angle_beta 90.00
_cell_angle_gamma 90.00
loop_
_atom_site_label
_atom_site_type_symbol
_atom_site_fract_x
_atom_site_fract_y
_atom_site_fract_z
In1 In 0.0000 0.0000 0.0000
Ga1 Ga 0.1251 0.1251 0.6251
Bi1 Bi 0.2500 0.2500 0.2500
```

Most intense lines, 2θ from 10° to 80°, by angle:
- hkl 1 1 1, 2θ = 18.76°, rel. 12
- hkl 2 2 0, 2θ = 30.88°, rel. 56
- hkl 3 1 1, 2θ = 36.38°, rel. 100
- hkl 2 2 2, 2θ = 38.06°, rel. 19
- hkl 4 2 2, 2θ = 54.91°, rel. 22
- hkl 5 1 1, 2θ = 58.55°, rel. 33
- hkl 4 4 0, 2θ = 64.34°, rel. 24
- hkl 5 3 3, 2θ = 76.22°, rel. 12

***

Record 10
Calculated PXRD pattern
Compound: Ac3Pm5S8
Radiation: Cu Kα, 1.54184 Å
Structure: a DFT-relaxed cell (GGA-PBE, Alexandria)

Crystal structure
```
data_Ac3Pm5S8
_symmetry_space_group_name_H-M 'R -3 m'
_symmetry_Int_Tables_number 166
_symmetry_space_group_name_Hall '-R 3 2"'
_cell_length_a 8.2651
_cell_length_b 8.2651
_cell_length_c 20.3327
_cell_angle_alpha 90.00
_cell_angle_beta 90.00
_cell_angle_gamma 120.00
loop_
_atom_site_label
_atom_site_type_symbol
_atom_site_fract_x
_atom_site_fract_y
_atom_site_fract_z
Ac1 Ac 0.0000 0.5000 0.0000
Pm1 Pm 0.0000 0.0000 0.0000
Pm2 Pm 0.0000 0.0000 0.5000
Pm3 Pm 0.0000 0.5000 0.5000
S1 S 0.0000 0.0000 0.2437
S2 S 0.0080 0.5040 0.7540
```

Most intense lines, 2θ from 10° to 80°, by angle:
- hkl 0 0 6, 2θ = 26.30°, rel. 22
- hkl 2 0 2, 2θ = 26.40°, rel. 65
- hkl 0 2 4, 2θ = 30.55°, rel. 100
- hkl 2 0 8, 2θ = 43.68°, rel. 37
- hkl 2 2 0, 2θ = 43.81°, rel. 37
- hkl 2 2 6, 2θ = 51.84°, rel. 34
- hkl 4 0 4, 2θ = 54.35°, rel. 19
- hkl 2 4 4, 2θ = 72.28°, rel. 17

***

Record 11
Calculated PXRD pattern
Compound: K4MgHg4
Radiation: Cu Kα, 1.54184 Å
Structure: a DFT-relaxed cell (GGA-PBE, Alexandria)

Crystal structure
```
data_K4MgHg4
_symmetry_space_group_name_H-M 'I -4 2 m'
_symmetry_Int_Tables_number 121
_symmetry_space_group_name_Hall 'I -4 2'
_cell_length_a 7.2412
_cell_length_b 7.2412
_cell_length_c 14.5394
_cell_angle_alpha 90.00
_cell_angle_beta 90.00
_cell_angle_gamma 90.00
loop_
_atom_site_label
_atom_site_type_symbol
_atom_site_fract_x
_atom_site_fract_y
_atom_site_fract_z
K1 K 0.2199 0.2199 0.1515
Mg1 Mg 0.0000 0.0000 0.5000
Hg1 Hg 0.2432 0.2432 0.3995
```

Most intense lines, 2θ from 10° to 80°, by angle:
- hkl 1 1 2, 2θ = 21.22°, rel. 89
- hkl 2 0 0, 2θ = 24.56°, rel. 100
- hkl 1 1 4, 2θ = 30.15°, rel. 33
- hkl 2 2 0, 2θ = 35.01°, rel. 78
- hkl 3 1 2, 2θ = 41.34°, rel. 37
- hkl 2 2 4, 2θ = 43.22°, rel. 21
- hkl 3 1 4, 2θ = 46.89°, rel. 18
- hkl 4 2 0, 2θ = 56.84°, rel. 22